Structure and computed powder X-ray diffraction pattern of Tl2CdTe4 (a structure optimized by DFT (PBE); Cu Kα (weighted mean of Kα1 and Kα2)).
Neutral-atom scattering factors, no anomalous dispersion.

Structure:
Unit cell a=7.932 b=7.932 c=7.932 alpha=132.23 beta=132.23 gamma=69.87
Fractional positions:
1 Tl 0.000 0.000 0.000
2 Tl 0.750 0.250 0.500
3 Cd 0.250 0.750 0.500
4 Te 0.172 0.166 0.563
5 Te 0.391 0.828 0.994
6 Te 0.603 0.609 0.437
7 Te 0.834 0.397 0.006

Largest 10 diffraction maxima, in order of rising 2θ, 2θ from 10° to 90°:
15.39 deg, intensity 12; 23.90 deg, intensity 100; 24.78 deg, intensity 13; 31.90 deg, intensity 19; 39.44 deg, intensity 50; 39.69 deg, intensity 24; 46.42 deg, intensity 15; 46.86 deg, intensity 28; 62.68 deg, intensity 12; 71.86 deg, intensity 13